Structure and calculated X-ray diffraction stick pattern of Tb2Pr2Dy2Er (a GGA-PBE-relaxed structure; CuKα).

```
Tb2Pr2Dy2Er
1.0
11.773 0.000 0.000
0.000 3.532 0.000
-3.941 0.000 11.226
Tb Pr Dy Er
4 4 4 2
Cartesian
-0.461 0.000 3.002
2.406 1.766 8.224
5.425 1.766 3.002
8.292 0.000 8.224
-0.301 0.000 6.570
2.247 1.766 4.656
5.585 1.766 6.570
8.133 0.000 4.656
-0.742 1.766 9.714
2.687 0.000 1.513
5.144 0.000 9.714
8.573 1.766 1.513
0.000 1.766 0.000
5.886 0.000 0.000
```

The 6 most intense peaks (15 to 90 degrees two-theta), sorted by position:
(1 1 1), 28.44 deg, intensity 34; (2 0 -4), 30.53 deg, intensity 100; (1 1 2), 32.36 deg, intensity 64; (2 0 3), 33.00 deg, intensity 35; (3 1 -2), 35.10 deg, intensity 48; (2 2 -4), 61.30 deg, intensity 42